This entry pairs a crystal structure of SrBi5O9 with its computed XRD peak list. Radiation: Cu Ka. Structure: a DFT-relaxed cell (GGA-PBE, Alexandria).
Kinematic intensities with the Lorentz-polarization factor, no thermal factor.

The 8 most intense peaks (2θ = 5–70°), low angle first:
- 26.19°, intensity 34, hkl 1 1 0
- 27.79°, intensity 74, hkl 0 0 3
- 28.22°, intensity 100, hkl -1 1 1
- 29.01°, intensity 44, hkl 0 2 -1
- 29.94°, intensity 49, hkl 1 1 -1
- 30.09°, intensity 29, hkl 1 -1 2
- 44.63°, intensity 26, hkl 2 0 1
- 48.26°, intensity 28, hkl -1 1 4

Atomic structure:
Cell lengths 4.0610, 6.8833, 9.9335 Å; angles 82.02, 78.28, 89.76 degrees
Space group P1 (No. 1)
Inequivalent atoms, fractional coordinates:
1 Sr 0.0000 0.0000 0.0000
2 Bi 0.1474 0.3949 0.6589
3 Bi 0.3339 0.1297 0.3240
4 Bi 0.5164 0.4977 0.9991
5 Bi 0.6593 0.8983 0.6698
6 Bi 0.8377 0.5873 0.3099
7 O 0.0303 0.3621 0.8746
8 O 0.1629 0.0589 0.6757
9 O 0.3611 0.4817 0.2613
10 O 0.4512 0.1678 0.1025
11 O 0.5581 0.8477 0.8860
12 O 0.6437 0.5670 0.6519
13 O 0.7960 0.2683 0.4030
14 O 0.8567 0.9113 0.3015
15 O 0.9424 0.6221 0.0873



This entry pairs a crystal structure of SrTa2Bi2O9 with its computed XRD peak list. Radiation: Cu Ka. Structure: a DFT-relaxed cell (GGA-PBE, Alexandria).
Kinematic intensities with the Lorentz-polarization factor, no thermal factor.

The 8 most intense peaks (2θ = 5–70°), low angle first:
- 22.62°, intensity 70, hkl 1 1 1
- 23.32°, intensity 40, hkl 8 0 0
- 24.10°, intensity 40, hkl 3 1 1
- 30.49°, intensity 100, hkl 7 1 1
- 31.93°, intensity 60, hkl 0 2 0
- 39.92°, intensity 24, hkl 8 2 0
- 45.79°, intensity 29, hkl 0 2 2
- 50.43°, intensity 26, hkl 15 1 1

Atomic structure:
Cell lengths 30.5114, 5.6114, 5.5982 Å; angles 90.00, 90.00, 90.00 degrees
Space group Cmc2_1 (No. 36)
Inequivalent atoms, fractional coordinates:
1 Sr 0.0000 0.2459 0.0000
2 Ta 0.0684 0.2520 0.5002
3 Bi 0.1983 0.2726 0.5390
4 O 0.0000 0.2143 0.5012
5 O 0.0566 0.4994 0.2501
6 O 0.0669 0.0006 0.7515
7 O 0.1304 0.3045 0.5007
8 O 0.2149 0.3840 0.1851



This entry pairs a crystal structure of SrTa2Bi2O9 with its computed XRD peak list. Radiation: Cu Ka. Structure: a DFT-relaxed cell (GGA-PBE, Alexandria).
Kinematic intensities with the Lorentz-polarization factor, no thermal factor.

The 8 most intense peaks (2θ = 5–70°), low angle first:
- 25.00°, intensity 10, hkl 1 0 3
- 28.82°, intensity 100, hkl 1 0 5
- 32.15°, intensity 39, hkl 1 1 0
- 35.80°, intensity 11, hkl 0 0 10
- 46.10°, intensity 22, hkl 2 0 0
- 48.87°, intensity 21, hkl 1 1 10
- 55.28°, intensity 34, hkl 2 1 5
- 59.70°, intensity 10, hkl 2 0 10

Atomic structure:
Cell lengths 3.9379, 3.9379, 25.0824 Å; angles 90.00, 90.00, 90.00 degrees
Space group I4/mmm (No. 139)
Inequivalent atoms, fractional coordinates:
1 Sr 0.0000 0.0000 0.0000
2 Ta 0.0000 0.0000 0.4144
3 Bi 0.0000 0.0000 0.2005
4 O 0.0000 0.0000 0.3387
5 O 0.0000 0.0000 0.5000
6 O 0.0000 0.5000 0.0770
7 O 0.0000 0.5000 0.2500



This entry pairs a crystal structure of SrTa2Bi2O9 with its computed XRD peak list. Radiation: Cu Ka. Structure: a DFT-relaxed cell (GGA-PBE, Alexandria).
Kinematic intensities with the Lorentz-polarization factor, no thermal factor.

The 8 most intense peaks (2θ = 5–70°), low angle first:
- 24.73°, intensity 17, hkl 1 3 1
- 28.45°, intensity 100, hkl 1 5 1
- 31.78°, intensity 14, hkl 0 0 2
- 31.96°, intensity 21, hkl 2 0 0
- 45.70°, intensity 15, hkl 2 0 2
- 51.84°, intensity 11, hkl 1 13 1
- 54.83°, intensity 15, hkl 3 5 1
- 58.90°, intensity 11, hkl 2 10 2

Atomic structure:
Cell lengths 5.5999, 25.5894, 5.6317 Å; angles 90.00, 90.00, 90.00 degrees
Space group Aea2 (No. 41)
Inequivalent atoms, fractional coordinates:
1 Sr 0.0000 0.0000 0.0000
2 Ta 0.0026 0.0827 0.4985
3 Bi 0.0241 0.2006 0.1061
4 O 0.0000 0.0000 0.4824
5 O 0.0432 0.1565 0.4773
6 O 0.2336 0.4222 0.7226
7 O 0.2358 0.0719 0.7513
8 O 0.2373 0.2511 0.8124